Starting from a DFT-relaxed cell (PBE, Alexandria), the X-ray powder pattern of TbPmNd5Sm2 was simulated for Cu Kα X-rays.
Kinematic intensities with the Lorentz-polarization factor, no thermal factor.

Structure:
Lattice parameters (Å, degrees): 10.1457 10.1457 10.1457 128.14 128.14 76.40
Atoms (fractional coordinates):
1 Tb 0.2500 0.7500 0.5000
2 Tb 0.7500 0.2500 0.5000
3 Pm 0.2500 0.2500 0.0000
4 Pm 0.7500 0.7500 0.0000
5 Nd 0.0000 0.0000 0.0000
6 Nd 0.0692 0.5692 0.9161
7 Nd 0.1531 0.0692 0.5000
8 Nd 0.3469 0.8469 0.9161
9 Nd 0.4308 0.3469 0.5000
10 Nd 0.5000 0.5000 0.0000
11 Nd 0.5692 0.6531 0.5000
12 Nd 0.6531 0.1531 0.0839
13 Nd 0.8469 0.9308 0.5000
14 Nd 0.9308 0.4308 0.0839
15 Sm 0.1173 0.3827 0.5000
16 Sm 0.3827 0.8827 0.2653
17 Sm 0.6173 0.1173 0.7347
18 Sm 0.8827 0.6173 0.5000

Most intense lines, 5° ≤ 2θ ≤ 70°, by intensity:
d = 2.965 Å, 2θ = 30.14°, I = 100; d = 3.180 Å, 2θ = 28.06°, I = 53; d = 3.137 Å, 2θ = 28.45°, I = 50; d = 1.994 Å, 2θ = 45.49°, I = 23; d = 2.135 Å, 2θ = 42.34°, I = 22; d = 1.776 Å, 2θ = 51.45°, I = 21; d = 1.683 Å, 2θ = 54.54°, I = 18; d = 2.432 Å, 2θ = 36.96°, I = 18; d = 2.806 Å, 2θ = 31.89°, I = 13; d = 2.486 Å, 2θ = 36.13°, I = 12